# 1
# La2Pm3Y5
Simulated powder X-ray diffraction pattern, Cu Kα. Input: the PBE geometry in Alexandria.

abc: 9.9877 9.9877 9.2501
angles: 108.30 108.30 114.73
Positions (direct):
La: 0.0224 0.2738 0.0443
La: 0.2738 0.0224 0.5443
La: 0.7262 0.9776 0.4557
La: 0.9776 0.7262 0.9557
Pm: 0.0240 0.9760 0.7500
Pm: 0.2284 0.4800 0.4556
Pm: 0.4800 0.2284 0.9556
Pm: 0.5200 0.7716 0.0444
Pm: 0.7716 0.5200 0.5444
Pm: 0.9760 0.0240 0.2500
Y: 0.1215 0.3817 0.7462
Y: 0.2228 0.7772 0.7500
Y: 0.2770 0.7230 0.2500
Y: 0.3817 0.1215 0.2462
Y: 0.4754 0.5246 0.2500
Y: 0.5246 0.4754 0.7500
Y: 0.6183 0.8785 0.7538
Y: 0.7230 0.2770 0.7500
Y: 0.7772 0.2228 0.2500
Y: 0.8785 0.6183 0.2538

Most intense lines, 2θ from 10° to 90°, in order of rising 2θ:
2θ (°)	I_rel
29.45	81
30.89	100
31.92	30
33.27	44
36.12	28
39.68	24
46.78	21
48.73	20
60.28	20
62.94	23

# 2
# La2PmY7
Simulated powder X-ray diffraction pattern, Cu Kα. Input: the PBE geometry in Alexandria.

abc: 6.2376 7.2130 8.1243
angles: 77.02 74.93 73.75
Positions (direct):
La: 0.1989 0.2980 0.1030
La: 0.8011 0.7020 0.8970
Pm: 0.0000 0.5000 0.5000
Y: 0.0000 0.0000 0.5000
Y: 0.1981 0.7997 0.1021
Y: 0.3993 0.1005 0.6976
Y: 0.3995 0.6006 0.6977
Y: 0.6005 0.3994 0.3023
Y: 0.6007 0.8995 0.3024
Y: 0.8019 0.2003 0.8979

Most intense lines, 2θ from 10° to 90°, in order of rising 2θ:
2θ (°)	I_rel
30.27	100
34.96	34
35.38	16
50.27	12
50.59	23
59.79	17
59.87	10
60.38	13
62.97	12
82.30	7